Starting from DFT lattice parameters and positions (PBE), the powder XRD pattern of Cr9In7S24 was simulated for Cu Kα, 1.54184 Å.

Structural model:
```
Cr9In7S24
1.0
6.3398 -11.0692 0.0000
6.3398 11.0692 0.0000
-4.1573 0.0000 6.0062
Cr In S
9 7 24
direct
0.0000 0.0000 0.0000 Cr
0.1659 0.3299 0.0127 Cr
0.3299 0.1659 0.0127 Cr
0.3386 0.6722 0.5270 Cr
0.3400 0.6726 0.0130 Cr
0.6566 0.8309 0.0025 Cr
0.6722 0.3386 0.5270 Cr
0.6726 0.3400 0.0130 Cr
0.8309 0.6566 0.0025 Cr
0.2897 0.9564 0.3838 In
0.3788 0.3788 0.6394 In
0.4955 0.9823 0.9999 In
0.6223 0.6223 0.3883 In
0.9564 0.2897 0.3838 In
0.9823 0.4955 0.9999 In
0.9927 0.9927 0.5236 In
0.0537 0.9008 0.2245 S
0.0983 0.9392 0.8013 S
0.1077 0.4281 0.8044 S
0.1079 0.4311 0.2613 S
0.2337 0.2337 0.2200 S
0.2493 0.2493 0.7969 S
0.2544 0.7299 0.7522 S
0.2607 0.7344 0.2582 S
0.3897 0.5758 0.2492 S
0.4211 0.6082 0.7762 S
0.4281 0.1077 0.8044 S
0.4311 0.1079 0.2613 S
0.5734 0.8896 0.2319 S
0.5736 0.8910 0.7522 S
0.5758 0.3897 0.2492 S
0.6082 0.4211 0.7762 S
0.7299 0.2544 0.7522 S
0.7344 0.2607 0.2582 S
0.7442 0.7442 0.2158 S
0.7638 0.7638 0.8049 S
0.8896 0.5734 0.2319 S
0.8910 0.5736 0.7522 S
0.9008 0.0537 0.2245 S
0.9392 0.0983 0.8013 S
```

Main lines, by angle (2θ from 10° to 90°):
2θ (°)  I (rel.)
24.12  28
24.27  29
28.38  100
28.50  80
28.65  31
34.56  47
45.17  29
45.30  45
49.40  74
49.72  50